For Y3CoCN, a DFT-relaxed cell (PBE, OQMD) gives the computed powder X-ray diffraction pattern in this record (copper Kα).
Neutral-atom scattering factors, no anomalous dispersion.

Top 12 peaks for 10° ≤ 2θ ≤ 90°, by intensity:
2theta  intensity
34.9  100
37.6  42
29.8  36
52.3  35
64.4  15
51.9  14
65.7  14
87.4  13
36.9  13
27.5  10
47.9  9
66.1  7

Cell and atoms:
a = 3.5012 Å, b = 3.5012 Å, c = 19.4775 Å
α = 90.00°, β = 90.00°, γ = 120.00°
Positions (direct):
1 Y 0.0000 0.0000 0.0000
2 Y 0.0000 0.0000 0.5000
3 Y 0.3333 0.6667 0.1443
4 Y 0.3333 0.6667 0.3521
5 Y 0.6667 0.3333 0.6479
6 Y 0.6667 0.3333 0.8557
7 Co 0.0000 0.0000 0.2449
8 Co 0.0000 0.0000 0.7551
9 C 0.3333 0.6667 0.5800
10 C 0.6667 0.3333 0.4200
11 N 0.3333 0.6667 0.9270
12 N 0.6667 0.3333 0.0730